The following is a calculated PXRD pattern of MgAl4H12O12. It was derived from a structure optimized by DFT (GGA-PBE), using Cu Kα (λ = 1.5418 Å).
Neutral-atom scattering factors, no anomalous dispersion.

Largest 10 diffraction maxima, by angle, 2θ from 15° to 90°:
2θ (°), Rel. int., h k l
17.2, 100, 0 1 -1
19.2, 73, 1 0 0
20.1, 48, 1 1 1
25.8, 36, 0 2 0
26.2, 23, 1 1 -1
26.3, 19, 1 0 2
37.8, 33, 1 0 -2
38.5, 45, 2 0 2
39.0, 26, 1 3 1
50.0, 24, 1 4 0

Structure:
a = 5.1887 Å, b = 7.3083 Å, c = 7.3244 Å
α = 89.79°, β = 70.26°, γ = 72.09°
Element x y z (fractional)
Mg 0.0000 0.0000 0.0000
Al 0.1021 0.9805 0.3962
Al 0.1256 0.4937 0.8503
Al 0.4135 0.6057 0.1353
Al 0.4597 0.1369 0.5457
H 0.2063 0.2946 0.3092
H 0.3488 0.1677 0.8988
H 0.3679 0.8200 0.6085
H 0.4817 0.4705 0.5039
H 0.4978 0.9399 0.0484
H 0.6388 0.0895 0.9674
H 0.7114 0.4438 0.8038
H 0.7437 0.0687 0.7641
H 0.7561 0.2507 0.2761
H 0.8552 0.4933 0.2058
H 0.9096 0.7077 0.3983
H 0.9694 0.7990 0.7451
O 0.0892 0.7547 0.8262
O 0.0973 0.7243 0.3713
O 0.1923 0.2083 0.4117
O 0.2018 0.1832 0.8353
O 0.2162 0.4803 0.0612
O 0.3464 0.8778 0.1150
O 0.4012 0.9028 0.5031
O 0.4103 0.3978 0.6153
O 0.6527 0.4907 0.2642
O 0.7430 0.5350 0.8841
O 0.7779 0.0310 0.6236
O 0.7945 0.1080 0.2930